No. 1
Starting from a cell relaxed with PBE, the powder XRD pattern of Er5Sb2Ru was calculated for Cu Kα X-rays.
Intensities are scaled so that the largest is 100.

Peak list (10 most intense, 5° ≤ 2θ ≤ 70°, sorted by position)
12.7°, I = 52, (0 2 0)
17.0°, I = 78, (1 1 0)
22.2°, I = 51, (0 2 3)
25.0°, I = 29, (1 1 3)
31.5°, I = 98, (0 4 3)
31.9°, I = 93, (2 0 0)
35.1°, I = 100, (1 3 4)
39.2°, I = 31, (2 2 3)
40.5°, I = 42, (1 5 3)
45.5°, I = 72, (2 4 3)

Unit cell a=5.611 b=13.942 c=14.675 alpha=90.00 beta=90.00 gamma=90.00
Space group Cmcm (No. 63)
Inequivalent atoms, fractional coordinates:
Er 0.000 0.048 0.129
Er 0.000 0.284 0.750
Er 0.000 0.303 0.110
Sb 0.000 0.153 0.551
Ru 0.000 0.186 0.250



No. 2
Starting from a cell relaxed with PBE, the powder XRD pattern of BaNb2NiIr was calculated for Cu Kα X-rays.
Intensities are scaled so that the largest is 100.

Peak list (10 most intense, 5° ≤ 2θ ≤ 70°, sorted by position)
14.5°, I = 44, (0 0 1)
18.2°, I = 100, (1 0 0)
29.2°, I = 83, (0 0 2)
29.8°, I = 39, (1 1 1)
34.6°, I = 41, (1 0 2)
36.9°, I = 89, (2 0 0)
47.8°, I = 85, (2 0 2)
51.5°, I = 27, (2 1 2)
53.2°, I = 31, (2 2 0)
61.9°, I = 39, (2 2 2)

Unit cell a=4.869 b=4.869 c=6.114 alpha=90.00 beta=90.00 gamma=90.00
Space group P4/mmm (No. 123)
Inequivalent atoms, fractional coordinates:
Ba 0.000 0.000 0.000
Nb 0.000 0.500 0.500
Ni 0.500 0.500 0.000
Ir 0.000 0.000 0.500



No. 3
Starting from a cell relaxed with PBE, the powder XRD pattern of Pr2Al2SnPd5 was calculated for Cu Kα X-rays.
Intensities are scaled so that the largest is 100.

Peak list (10 most intense, 5° ≤ 2θ ≤ 70°, sorted by position)
31.5°, I = 47, (2 1 1)
34.9°, I = 52, (2 2 1)
35.4°, I = 70, (4 1 0)
36.4°, I = 21, (3 3 0)
37.1°, I = 100, (3 1 1)
38.5°, I = 20, (4 2 0)
40.1°, I = 30, (3 2 1)
51.2°, I = 22, (0 0 2)
62.5°, I = 17, (5 4 1)
63.8°, I = 25, (4 1 2)

Unit cell a=10.462 b=10.462 c=3.567 alpha=90.00 beta=90.00 gamma=90.00
Space group P4/mbm (No. 127)
Inequivalent atoms, fractional coordinates:
Pr 0.182 0.318 0.000
Al 0.117 0.617 0.000
Sn 0.000 0.000 0.000
Pd 0.000 0.500 0.500
Pd 0.053 0.786 0.500



No. 4
Starting from a cell relaxed with PBE, the powder XRD pattern of Ba2LiZn3Si4 was calculated for Cu Kα X-rays.
Intensities are scaled so that the largest is 100.

Peak list (10 most intense, 5° ≤ 2θ ≤ 70°, sorted by position)
21.6°, I = 31, (1 0 1)
28.2°, I = 49, (1 1 0)
32.3°, I = 100, (1 0 3)
33.0°, I = 100, (1 1 2)
40.4°, I = 61, (2 0 0)
47.6°, I = 38, (1 0 5)
52.6°, I = 49, (2 1 3)
58.4°, I = 20, (2 2 0)
64.1°, I = 31, (2 1 5)
68.8°, I = 23, (3 1 2)

Unit cell a=4.469 b=4.469 c=10.579 alpha=90.00 beta=90.00 gamma=90.00
Space group P-4m2 (No. 115)
Inequivalent atoms, fractional coordinates:
Ba 0.000 0.500 0.247
Li 0.500 0.500 0.000
Zn 0.000 0.000 0.000
Zn 0.000 0.500 0.630
Si 0.000 0.000 0.500
Si 0.000 0.500 0.871
Si 0.500 0.500 0.500



No. 5
Starting from a cell relaxed with PBE, the powder XRD pattern of Pa2Sb2Ru3 was calculated for Cu Kα X-rays.
Intensities are scaled so that the largest is 100.

Peak list (10 most intense, 5° ≤ 2θ ≤ 70°, sorted by position)
20.2°, I = 19, (1 1 0)
27.4°, I = 27, (1 1 1)
28.2°, I = 24, (3 1 0)
32.8°, I = 100, (3 1 -1)
38.6°, I = 43, (0 2 0)
39.6°, I = 29, (2 0 2)
42.1°, I = 25, (1 1 2)
45.0°, I = 29, (5 1 1)
56.5°, I = 27, (2 2 2)
59.1°, I = 20, (1 1 -3)

Unit cell a=12.926 b=4.668 c=4.991 alpha=90.00 beta=93.72 gamma=90.00
Space group C2/m (No. 12)
Inequivalent atoms, fractional coordinates:
Pa 0.148 0.000 0.377
Sb 0.097 0.500 0.830
Ru 0.000 0.000 0.000
Ru 0.224 0.000 0.824



No. 6
Starting from a cell relaxed with PBE, the powder XRD pattern of Pr2Te4O11 was calculated for Cu Kα X-rays.
Intensities are scaled so that the largest is 100.

Peak list (10 most intense, 5° ≤ 2θ ≤ 70°, sorted by position)
25.8°, I = 100, (1 1 3)
28.7°, I = 31, (4 0 0)
29.0°, I = 65, (3 1 -3)
32.7°, I = 21, (2 0 -6)
33.6°, I = 18, (0 2 0)
39.6°, I = 15, (2 0 6)
44.8°, I = 21, (4 2 0)
47.1°, I = 17, (5 1 3)
47.6°, I = 18, (2 2 -6)
52.9°, I = 25, (7 1 -3)

Unit cell a=12.839 b=5.330 c=16.719 alpha=90.00 beta=104.57 gamma=90.00
Space group C2/c (No. 15)
Inequivalent atoms, fractional coordinates:
Pr 0.118 0.248 0.038
Te 0.118 0.223 0.699
Te 0.134 0.219 0.375
O 0.000 0.350 0.750
O 0.024 0.088 0.600
O 0.072 0.381 0.453
O 0.147 0.452 0.170
O 0.208 0.039 0.945
O 0.247 0.067 0.627